# 1
Diffraction record for BaTi2Mn2O7. The X-ray powder pattern is computed, not measured: it uses the PBE+U geometry in Alexandria and Cu Kα.
Lines closer than 0.1° are merged.

Most intense lines, 2θ from 15° to 90°, in order of falling intensity:
Position (°2θ), I (rel.), h k l
30.4, 100.0, 1 2 1
28.2, 54.4, 1 3 0
32.7, 45.2, 0 5 1
23.7, 44.4, 0 3 1
33.8, 42.2, 0 0 2
58.4, 31.7, 2 0 2
46.1, 26.3, 2 0 0
44.5, 23.2, 1 6 1

Structural model:
```
data_BaTi2Mn2O7
_space_group_name_H-M_alt 'I m m 2'
_space_group_IT_number 44
_space_group_name_Hall 'I 2 -2'
_cell_length_a 3.9390
_cell_length_b 15.9929
_cell_length_c 5.2965
_cell_angle_alpha 90.00
_cell_angle_beta 90.00
_cell_angle_gamma 90.00
loop_
_atom_site_label
_atom_site_type_symbol
_atom_site_fract_x
_atom_site_fract_y
_atom_site_fract_z
Ba1 Ba 0.0000 0.0000 0.0000
Ti1 Ti 0.0000 0.3887 0.9856
Mn1 Mn 0.0000 0.2626 0.4618
O1 O 0.0000 0.1171 0.4267
O2 O 0.0000 0.2731 0.8613
O3 O 0.0000 0.3889 0.3257
O4 O 0.0000 0.5000 0.8518
```

---

# 2
Diffraction record for Ba2MnTlO4. The X-ray powder pattern is computed, not measured: it uses the PBE+U geometry in Alexandria and Cu Kα.
Lines closer than 0.1° are merged.

Most intense lines, 2θ from 15° to 90°, in order of falling intensity:
Position (°2θ), I (rel.), h k l
27.5, 100.0, 2 2 0
30.3, 72.5, 2 2 -2
28.1, 64.7, 0 0 2
33.8, 36.2, 0 4 0
44.5, 32.2, 0 4 2
38.1, 31.9, 4 0 -2
47.6, 29.5, 2 2 2
51.8, 20.6, 4 4 -2

Structural model:
```
data_Ba2MnTlO4
_space_group_name_H-M_alt 'C 1 2/c 1'
_space_group_IT_number 15
_space_group_name_Hall '-C 2yc'
_cell_length_a 9.5574
_cell_length_b 10.6186
_cell_length_c 7.4179
_cell_angle_alpha 90.00
_cell_angle_beta 121.19
_cell_angle_gamma 90.00
loop_
_atom_site_label
_atom_site_type_symbol
_atom_site_fract_x
_atom_site_fract_y
_atom_site_fract_z
Ba1 Ba 0.0000 0.0000 0.0000
Ba2 Ba 0.2500 0.2500 0.0000
Mn1 Mn 0.2500 0.2500 0.5000
Tl1 Tl 0.0000 0.5000 0.0000
O1 O 0.0827 0.2395 0.5871
O2 O 0.2131 0.0746 0.4061
```

---

# 3
Diffraction record for Ba2Mn3Tl2O10. The X-ray powder pattern is computed, not measured: it uses the PBE+U geometry in Alexandria and Cu Kα.
Lines closer than 0.1° are merged.

Most intense lines, 2θ from 15° to 90°, in order of falling intensity:
Position (°2θ), I (rel.), h k l
27.9, 100.0, 1 0 3
33.5, 38.7, 1 1 0
30.9, 33.9, 1 0 -4
56.5, 28.1, 1 -2 3
33.9, 23.8, 1 1 -1
48.1, 23.5, 2 0 0
35.0, 19.8, 0 0 7
45.5, 19.3, 1 1 6

Structural model:
```
data_Ba2Mn3Tl2O10
_space_group_name_H-M_alt 'P 1'
_space_group_IT_number 1
_space_group_name_Hall 'P 1'
_cell_length_a 3.7818
_cell_length_b 3.7830
_cell_length_c 17.9452
_cell_angle_alpha 90.02
_cell_angle_beta 90.07
_cell_angle_gamma 90.01
loop_
_atom_site_label
_atom_site_type_symbol
_atom_site_fract_x
_atom_site_fract_y
_atom_site_fract_z
Ba1 Ba 0.0000 0.0000 0.0000
Ba2 Ba 0.4961 0.4989 0.5331
Mn1 Mn 0.4949 0.0004 0.2666
Mn2 Mn 0.5012 0.5002 0.1311
Mn3 Mn 0.9955 0.9984 0.4020
Tl1 Tl 0.4993 0.4937 0.8325
Tl2 Tl 0.9981 0.9931 0.7006
O1 O 0.0003 0.5002 0.1009
O2 O 0.4950 0.5004 0.2402
O3 O 0.4951 0.5250 0.7162
O4 O 0.4955 0.9988 0.4206
O5 O 0.5003 0.0002 0.1126
O6 O 0.4996 0.5006 0.9454
O7 O 0.9950 0.0004 0.2929
O8 O 0.9954 0.4988 0.4322
O9 O 0.9964 0.9998 0.5877
O10 O 0.9958 0.0250 0.8169
```

---

# 4
Diffraction record for Ba3UMn2O9. The X-ray powder pattern is computed, not measured: it uses the PBE+U geometry in Alexandria and Cu Kα.
Lines closer than 0.1° are merged.

Most intense lines, 2θ from 15° to 90°, in order of falling intensity:
Position (°2θ), I (rel.), h k l
30.1, 100.0, 0 1 2
30.4, 91.5, 1 1 0
43.3, 58.7, 2 0 2
53.8, 40.0, 1 2 2
17.4, 20.5, 1 0 0
21.3, 20.3, 0 1 1
54.0, 18.4, 3 0 0
71.6, 17.7, 3 1 2

Structural model:
```
data_Ba3UMn2O9
_space_group_name_H-M_alt 'P -3 m 1'
_space_group_IT_number 164
_space_group_name_Hall '-P 3 2"'
_cell_length_a 5.8826
_cell_length_b 5.8826
_cell_length_c 7.2944
_cell_angle_alpha 90.00
_cell_angle_beta 90.00
_cell_angle_gamma 120.00
loop_
_atom_site_label
_atom_site_type_symbol
_atom_site_fract_x
_atom_site_fract_y
_atom_site_fract_z
Ba1 Ba 0.0000 0.0000 0.0000
Ba2 Ba 0.3333 0.6667 0.6901
U1 U 0.0000 0.0000 0.5000
Mn1 Mn 0.3333 0.6667 0.1529
O1 O 0.0000 0.5000 0.0000
O2 O 0.1664 0.3328 0.3324
```

---

# 5
Diffraction record for BaZr2Mn2O7. The X-ray powder pattern is computed, not measured: it uses the PBE+U geometry in Alexandria and Cu Kα.
Lines closer than 0.1° are merged.

Most intense lines, 2θ from 15° to 90°, in order of falling intensity:
Position (°2θ), I (rel.), h k l
25.4, 100.0, 1 0 3
42.1, 87.2, 2 0 0
32.2, 72.8, 1 0 5
31.1, 69.4, 1 1 2
59.2, 59.5, 2 0 8
39.6, 36.5, 0 0 8
54.0, 34.2, 2 1 5
49.8, 33.6, 2 1 3

Structural model:
```
data_BaZr2Mn2O7
_space_group_name_H-M_alt 'I 4/m m m'
_space_group_IT_number 139
_space_group_name_Hall '-I 4 2'
_cell_length_a 4.2926
_cell_length_b 4.2926
_cell_length_c 18.2096
_cell_angle_alpha 90.00
_cell_angle_beta 90.00
_cell_angle_gamma 90.00
loop_
_atom_site_label
_atom_site_type_symbol
_atom_site_fract_x
_atom_site_fract_y
_atom_site_fract_z
Ba1 Ba 0.0000 0.0000 0.0000
Zr1 Zr 0.0000 0.0000 0.3857
Mn1 Mn 0.0000 0.5000 0.2500
O1 O 0.0000 0.0000 0.2672
O2 O 0.0000 0.0000 0.5000
O3 O 0.0000 0.5000 0.1167
```